Starting from a DFT-relaxed cell (PBE, Alexandria), the powder X-ray diffraction pattern of Pa2AgF11 was calculated for Cu Kα, 1.54184 Å.

Structural model:
Cell: 8.9375 8.9375 8.9375 Å, 121.93 107.27 100.03°
Positions (direct):
Pa  0.1859  0.1386  0.3245
Pa  0.3141  0.6386  0.9526
Pa  0.6859  0.3614  0.0474
Pa  0.8141  0.8614  0.6755
Ag  0.2500  0.7500  0.5000
Ag  0.7500  0.2500  0.5000
F  0.0000  0.0000  0.0000
F  0.0492  0.8861  0.6728
F  0.0509  0.4569  0.7727
F  0.1841  0.9569  0.4059
F  0.2133  0.3764  0.3272
F  0.2156  0.8652  0.0808
F  0.2844  0.3652  0.6496
F  0.2867  0.6139  0.1631
F  0.3159  0.7218  0.7727
F  0.4491  0.2218  0.4059
F  0.4508  0.1236  0.8369
F  0.5000  0.5000  0.0000
F  0.5492  0.8764  0.1631
F  0.5509  0.7782  0.5941
F  0.6841  0.2782  0.2273
F  0.7133  0.3861  0.8369
F  0.7156  0.6348  0.3504
F  0.7844  0.1348  0.9192
F  0.7867  0.6236  0.6728
F  0.8159  0.0431  0.5941
F  0.9491  0.5431  0.2273
F  0.9508  0.1139  0.3272

Largest 10 diffraction maxima, sorted by position, 10 to 80 degrees two-theta:
two_theta, I/Imax
15.4, 56
20.4, 54
21.1, 51
22.8, 60
23.5, 100
27.3, 20
32.3, 26
41.9, 25
42.8, 28
43.4, 32

***

Starting from a DFT-relaxed cell (PBE, Alexandria), the powder X-ray diffraction pattern of CaBe2Au4 was calculated for Cu Kα, 1.54184 Å.

Structural model:
Cell: 17.1938 4.4018 6.2731 Å, 90.00 90.00 90.00°
Positions (direct):
Ca  0.1380  0.2500  0.0068
Ca  0.3620  0.7500  0.5068
Ca  0.6380  0.2500  0.4932
Ca  0.8620  0.7500  0.9932
Be  0.0380  0.7500  0.2567
Be  0.2144  0.2500  0.5394
Be  0.2856  0.7500  0.0394
Be  0.4620  0.2500  0.7567
Be  0.5380  0.7500  0.2433
Be  0.7144  0.2500  0.9606
Be  0.7856  0.7500  0.4606
Be  0.9620  0.2500  0.7433
Au  0.0296  0.7500  0.8524
Au  0.0746  0.2500  0.5066
Au  0.1794  0.7500  0.3039
Au  0.2038  0.7500  0.7438
Au  0.2962  0.2500  0.2438
Au  0.3206  0.2500  0.8039
Au  0.4254  0.7500  0.0066
Au  0.4704  0.2500  0.3524
Au  0.5296  0.7500  0.6476
Au  0.5746  0.2500  0.9934
Au  0.6794  0.7500  0.1961
Au  0.7038  0.7500  0.7562
Au  0.7962  0.2500  0.2562
Au  0.8206  0.2500  0.6961
Au  0.9254  0.7500  0.4934
Au  0.9704  0.2500  0.1476

Largest 10 diffraction maxima, sorted by position, 10 to 80 degrees two-theta:
two_theta, I/Imax
29.0, 80
29.3, 55
30.3, 38
32.4, 35
35.5, 34
36.1, 51
36.7, 100
37.4, 44
41.0, 69
47.7, 29